1.
OsF5: theoretical PXRD pattern (Cu Kα (λ = 1.5418 Å)), based on a cell relaxed with GGA-PBE.
Neutral-atom scattering factors, no anomalous dispersion.

```
data_OsF5
_cell_length_a 4.524
_cell_length_b 5.110
_cell_length_c 6.995
_cell_angle_alpha 73.47
_cell_angle_beta 89.60
_cell_angle_gamma 64.47
_symmetry_space_group_name_H-M 'P -1'
_symmetry_Int_Tables_number 2
_symmetry_space_group_name_Hall '-P 1'
loop_
_atom_site_label
_atom_site_type_symbol
_atom_site_fract_x
_atom_site_fract_y
_atom_site_fract_z
Os1 Os 0.113 0.277 0.224
F1 F 0.074 0.688 0.051
F2 F 0.124 0.900 0.346
F3 F 0.279 0.295 0.458
F4 F 0.327 0.507 0.736
F5 F 0.466 0.900 0.853
```

Principal peaks in the range 5° ≤ 2θ ≤ 70°, most intense first:
2θ/deg	I/Imax	h k l
20.51	100	0 1 1
24.18	79	1 0 -1
27.68	56	0 1 -1
21.97	49	1 0 0
22.26	49	1 1 0
26.83	47	0 0 2
39.44	28	0 1 3
42.81	28	1 2 -1
43.59	28	1 1 3
45.07	27	2 0 -1

2.
PrOs3F15: theoretical PXRD pattern (Cu Kα (λ = 1.5418 Å)), based on a cell relaxed with GGA-PBE.
Neutral-atom scattering factors, no anomalous dispersion.

```
data_PrOs3F15
_cell_length_a 7.112
_cell_length_b 12.220
_cell_length_c 5.618
_cell_angle_alpha 90.00
_cell_angle_beta 109.39
_cell_angle_gamma 90.00
_symmetry_space_group_name_H-M 'C 1 m 1'
_symmetry_Int_Tables_number 8
_symmetry_space_group_name_Hall 'C -2y'
loop_
_atom_site_label
_atom_site_type_symbol
_atom_site_fract_x
_atom_site_fract_y
_atom_site_fract_z
Pr1 Pr 0.000 0.000 0.000
Os1 Os 0.382 0.259 0.454
Os2 Os 0.486 0.000 0.743
F1 F 0.121 0.321 0.435
F2 F 0.161 0.394 0.959
F3 F 0.227 0.500 0.622
F4 F 0.267 0.191 0.139
F5 F 0.299 0.000 0.932
F6 F 0.313 0.140 0.644
F7 F 0.363 0.000 0.380
F8 F 0.472 0.391 0.321
F9 F 0.482 0.331 0.778
```

Principal peaks in the range 5° ≤ 2θ ≤ 70°, most intense first:
2θ/deg	I/Imax	h k l
22.21	100	0 2 1
29.23	29	0 4 0
26.31	29	2 0 -1
26.57	26	2 0 0
30.40	23	2 2 0
19.00	21	1 1 -1
16.73	19	0 0 1
39.91	18	2 4 0
39.73	17	2 4 -1
30.16	16	2 2 -1

3.
ZnPPbF: theoretical PXRD pattern (Cu Kα (λ = 1.5418 Å)), based on a cell relaxed with GGA-PBE.
Neutral-atom scattering factors, no anomalous dispersion.

```
data_ZnPPbF
_cell_length_a 4.0731
_cell_length_b 4.0731
_cell_length_c 31.8806
_cell_angle_alpha 90.00
_cell_angle_beta 90.00
_cell_angle_gamma 120.00
_symmetry_space_group_name_H-M 'R -3 m'
_symmetry_Int_Tables_number 166
_symmetry_space_group_name_Hall '-R 3 2"'
loop_
_atom_site_label
_atom_site_type_symbol
_atom_site_fract_x
_atom_site_fract_y
_atom_site_fract_z
Zn1 Zn 0.0000 0.0000 0.1952
P1 P 0.0000 0.0000 0.1166
Pb1 Pb 0.0000 0.0000 0.3898
F1 F 0.0000 0.0000 0.3063
```

Principal peaks in the range 5° ≤ 2θ ≤ 70°, most intense first:
2θ/deg	I/Imax	h k l
28.93	100	0 1 5
27.66	99	1 0 4
38.05	73	1 0 10
44.49	70	1 1 0
25.40	39	1 0 1
47.53	29	0 1 14
25.14	28	0 0 9
51.78	26	1 1 9
53.94	19	2 0 5
59.94	19	0 2 10

4.
RePF9: theoretical PXRD pattern (Cu Kα (λ = 1.5418 Å)), based on a cell relaxed with GGA-PBE.
Neutral-atom scattering factors, no anomalous dispersion.

```
data_RePF9
_cell_length_a 4.843
_cell_length_b 6.759
_cell_length_c 7.394
_cell_angle_alpha 99.21
_cell_angle_beta 94.31
_cell_angle_gamma 93.23
_symmetry_space_group_name_H-M 'P -1'
_symmetry_Int_Tables_number 2
_symmetry_space_group_name_Hall '-P 1'
loop_
_atom_site_label
_atom_site_type_symbol
_atom_site_fract_x
_atom_site_fract_y
_atom_site_fract_z
Re1 Re 0.137 0.135 0.190
P1 P 0.486 0.710 0.278
F1 F 0.008 0.251 0.415
F2 F 0.085 0.360 0.074
F3 F 0.200 0.862 0.290
F4 F 0.238 0.997 0.937
F5 F 0.261 0.421 0.734
F6 F 0.319 0.579 0.385
F7 F 0.344 0.102 0.622
F8 F 0.423 0.684 0.068
F9 F 0.499 0.771 0.711
```

Principal peaks in the range 5° ≤ 2θ ≤ 70°, most intense first:
2θ/deg	I/Imax	h k l
21.23	100	1 0 -1
13.30	99	0 1 0
22.01	91	1 -1 0
16.51	89	0 1 -1
24.74	75	1 1 -1
28.31	69	1 1 1
24.48	59	0 0 2
27.58	58	0 2 -1
31.33	51	0 2 1
44.10	51	-1 1 3

5.
Te2PtPb2F2: theoretical PXRD pattern (Cu Kα (λ = 1.5418 Å)), based on a cell relaxed with GGA-PBE.
Neutral-atom scattering factors, no anomalous dispersion.

```
data_Te2PtPb2F2
_cell_length_a 4.198
_cell_length_b 4.198
_cell_length_c 9.222
_cell_angle_alpha 90.00
_cell_angle_beta 90.00
_cell_angle_gamma 90.00
_symmetry_space_group_name_H-M 'P -4 m 2'
_symmetry_Int_Tables_number 115
_symmetry_space_group_name_Hall 'P -4 -2'
loop_
_atom_site_label
_atom_site_type_symbol
_atom_site_fract_x
_atom_site_fract_y
_atom_site_fract_z
Te1 Te 0.000 0.500 0.168
Pt1 Pt 0.000 0.000 0.000
Pb1 Pb 0.000 0.500 0.662
F1 F 0.000 0.000 0.500
F2 F 0.500 0.500 0.500
```

Principal peaks in the range 5° ≤ 2θ ≤ 70°, most intense first:
2θ/deg	I/Imax	h k l
28.76	100	1 0 2
35.98	45	1 1 2
52.64	38	2 1 2
43.10	36	2 0 0
44.85	28	1 0 4
23.28	24	1 0 1
30.11	22	1 1 0
50.10	20	1 1 4
63.95	20	2 1 4
31.67	12	1 1 1

6.
RbZrPbF7: theoretical PXRD pattern (Cu Kα (λ = 1.5418 Å)), based on a cell relaxed with GGA-PBE.
Neutral-atom scattering factors, no anomalous dispersion.

```
data_RbZrPbF7
_cell_length_a 7.020
_cell_length_b 11.106
_cell_length_c 8.522
_cell_angle_alpha 90.00
_cell_angle_beta 90.00
_cell_angle_gamma 90.00
_symmetry_space_group_name_H-M 'C m c m'
_symmetry_Int_Tables_number 63
_symmetry_space_group_name_Hall '-C 2c 2'
loop_
_atom_site_label
_atom_site_type_symbol
_atom_site_fract_x
_atom_site_fract_y
_atom_site_fract_z
Rb1 Rb 0.000 0.000 0.000
Zr1 Zr 0.000 0.287 0.250
Pb1 Pb 0.000 0.321 0.750
F1 F 0.000 0.262 0.016
F2 F 0.000 0.469 0.250
F3 F 0.169 0.128 0.250
F4 F 0.217 0.150 0.750
```

Principal peaks in the range 5° ≤ 2θ ≤ 70°, most intense first:
2θ/deg	I/Imax	h k l
27.23	100	1 3 0
25.37	90	2 0 0
25.74	88	1 1 2
20.85	73	0 0 2
26.36	71	0 2 2
47.97	50	1 5 2
36.92	48	2 2 2
15.96	47	0 2 0
51.16	41	1 3 4
42.43	41	0 0 4

7.
TaPb4F2: theoretical PXRD pattern (Cu Kα (λ = 1.5418 Å)), based on a cell relaxed with GGA-PBE.
Neutral-atom scattering factors, no anomalous dispersion.

```
data_TaPb4F2
_cell_length_a 8.011
_cell_length_b 12.456
_cell_length_c 3.226
_cell_angle_alpha 90.00
_cell_angle_beta 90.00
_cell_angle_gamma 90.00
_symmetry_space_group_name_H-M 'C m m m'
_symmetry_Int_Tables_number 65
_symmetry_space_group_name_Hall '-C 2 2'
loop_
_atom_site_label
_atom_site_type_symbol
_atom_site_fract_x
_atom_site_fract_y
_atom_site_fract_z
Ta1 Ta 0.000 0.000 0.000
Pb1 Pb 0.000 0.238 0.000
Pb2 Pb 0.195 0.500 0.500
F1 F 0.250 0.250 0.500
```

Principal peaks in the range 5° ≤ 2θ ≤ 70°, most intense first:
2θ/deg	I/Imax	h k l
28.67	100	0 4 0
35.74	97	2 0 1
46.44	90	2 4 1
26.46	58	2 2 0
31.23	55	0 2 1
30.73	39	1 1 1
34.35	38	3 1 0
47.49	22	1 5 1
65.13	20	0 4 2
50.08	20	3 5 0

8.
ZrPb2F8: theoretical PXRD pattern (Cu Kα (λ = 1.5418 Å)), based on a cell relaxed with GGA-PBE.
Neutral-atom scattering factors, no anomalous dispersion.

```
data_ZrPb2F8
_cell_length_a 5.189
_cell_length_b 5.189
_cell_length_c 11.590
_cell_angle_alpha 90.00
_cell_angle_beta 90.00
_cell_angle_gamma 90.00
_symmetry_space_group_name_H-M 'I -4'
_symmetry_Int_Tables_number 82
_symmetry_space_group_name_Hall 'I -4'
loop_
_atom_site_label
_atom_site_type_symbol
_atom_site_fract_x
_atom_site_fract_y
_atom_site_fract_z
Zr1 Zr 0.000 0.000 0.000
Pb1 Pb 0.000 0.000 0.333
F1 F 0.114 0.218 0.844
F2 F 0.168 0.680 0.451
```

Principal peaks in the range 5° ≤ 2θ ≤ 70°, most intense first:
2θ/deg	I/Imax	h k l
28.81	100	1 0 3
24.26	82	1 1 0
45.60	70	1 2 3
34.57	24	2 0 0
53.62	23	1 1 6
56.05	21	1 3 0
58.47	19	3 0 3
69.74	19	3 2 3
59.68	14	2 0 6
49.70	13	2 2 0

9.
Pd2Se3F4: theoretical PXRD pattern (Cu Kα (λ = 1.5418 Å)), based on a cell relaxed with GGA-PBE.
Neutral-atom scattering factors, no anomalous dispersion.

```
data_Pd2Se3F4
_cell_length_a 6.413
_cell_length_b 3.592
_cell_length_c 6.414
_cell_angle_alpha 90.00
_cell_angle_beta 119.94
_cell_angle_gamma 90.00
_symmetry_space_group_name_H-M 'P 1 m 1'
_symmetry_Int_Tables_number 6
_symmetry_space_group_name_Hall 'P -2y'
loop_
_atom_site_label
_atom_site_type_symbol
_atom_site_fract_x
_atom_site_fract_y
_atom_site_fract_z
Pd1 Pd 0.000 0.000 0.000
Pd2 Pd 0.333 0.500 0.666
Se1 Se 0.041 0.000 0.423
Se2 Se 0.383 0.000 0.959
Se3 Se 0.576 0.000 0.617
F1 F 0.244 0.500 0.223
F2 F 0.667 0.500 0.333
F3 F 0.776 0.500 0.021
F4 F 0.979 0.500 0.756
```

Principal peaks in the range 5° ≤ 2θ ≤ 70°, most intense first:
2θ/deg	I/Imax	h k l
41.07	100	2 1 0
15.95	62	1 0 0
50.33	59	2 1 -3
37.59	55	1 1 1
27.81	41	2 0 -1
49.20	30	0 0 3
29.61	23	0 1 1
32.22	23	0 0 2
50.84	22	0 2 0
43.08	21	3 0 -1

10.
TbPd3F5: theoretical PXRD pattern (Cu Kα (λ = 1.5418 Å)), based on a cell relaxed with GGA-PBE.
Neutral-atom scattering factors, no anomalous dispersion.

```
data_TbPd3F5
_cell_length_a 4.913
_cell_length_b 5.993
_cell_length_c 4.967
_cell_angle_alpha 90.00
_cell_angle_beta 107.80
_cell_angle_gamma 90.00
_symmetry_space_group_name_H-M 'P 1 2 1'
_symmetry_Int_Tables_number 3
_symmetry_space_group_name_Hall 'P 2y'
loop_
_atom_site_label
_atom_site_type_symbol
_atom_site_fract_x
_atom_site_fract_y
_atom_site_fract_z
Tb1 Tb 0.000 0.000 0.000
Pd1 Pd 0.000 0.582 0.500
Pd2 Pd 0.500 0.096 0.500
Pd3 Pd 0.500 0.575 0.000
F1 F 0.231 0.165 0.770
F2 F 0.267 0.760 0.264
F3 F 0.500 0.434 0.500
```

Principal peaks in the range 5° ≤ 2θ ≤ 70°, most intense first:
2θ/deg	I/Imax	h k l
26.84	100	1 1 -1
34.25	78	1 1 1
29.82	36	0 2 0
49.45	27	2 2 0
45.45	23	2 0 -2
49.08	23	0 2 2
38.06	21	0 0 2
38.49	20	2 0 0
57.81	18	1 1 -3
51.13	16	1 3 -1

11.
Tl3PdF6: theoretical PXRD pattern (Cu Kα (λ = 1.5418 Å)), based on a cell relaxed with GGA-PBE.
Neutral-atom scattering factors, no anomalous dispersion.

```
data_Tl3PdF6
_cell_length_a 6.090
_cell_length_b 6.090
_cell_length_c 9.204
_cell_angle_alpha 90.00
_cell_angle_beta 90.00
_cell_angle_gamma 90.00
_symmetry_space_group_name_H-M 'I 4/m'
_symmetry_Int_Tables_number 87
_symmetry_space_group_name_Hall '-I 4'
loop_
_atom_site_label
_atom_site_type_symbol
_atom_site_fract_x
_atom_site_fract_y
_atom_site_fract_z
Tl1 Tl 0.000 0.000 0.000
Tl2 Tl 0.000 0.500 0.250
Pd1 Pd 0.000 0.000 0.500
F1 F 0.000 0.000 0.260
F2 F 0.154 0.705 0.500
```

Principal peaks in the range 5° ≤ 2θ ≤ 70°, most intense first:
2θ/deg	I/Imax	h k l
28.38	100	1 1 2
29.33	53	2 0 0
51.44	45	3 1 2
49.66	25	2 0 4
41.96	24	2 2 0
58.73	18	2 2 4
39.15	17	0 0 4
64.48	11	1 1 6
68.96	11	2 4 0
68.47	8	3 3 2